Diffraction record for Al5Zn2W2. The PXRD pattern is theoretical, not measured: it uses the PBE geometry in Alexandria and Cu Ka.
Kinematic intensities with the Lorentz-polarization factor, no thermal factor.

Main lines, in order of rising 2θ (2θ = 15–90°):
Position (°2θ)  I/Imax
19.4  60.8
21.4  21.7
27.5  37.8
28.8  100.0
38.8  32.9
40.7  75.5
40.8  95.8
41.5  33.9
43.7  34.6
50.9  26.4

Structural model:
```
Al5Zn2W2
1.0
4.5773 -1.7943 0.0000
4.5773 1.7943 0.0000
-0.5086 0.0000 8.7006
Al Zn W
5 2 2
Direct
0.0000 0.0000 0.0000
0.0775 0.0775 0.6582
0.3777 0.3777 0.8012
0.6223 0.6223 0.1988
0.9225 0.9225 0.3418
0.2147 0.2147 0.4009
0.7853 0.7853 0.5991
0.3268 0.3268 0.1171
0.6732 0.6732 0.8829
```